Starting from a DFT-relaxed cell (GGA-PBE, the Materials Project), the X-ray diffraction stick pattern of Ca7CoN6 was simulated for CuKα.
Intensities are scaled so that the largest is 100.

The 6 most intense peaks (10° ≤ 2θ ≤ 90°), in order of rising 2θ:
Position (°2θ)  d [Å]  I_rel
21.40  4.153  24
32.24  2.777  100
33.00  2.714  27
35.97  2.497  42
36.49  2.462  24
36.77  2.444  38

Structural model:
```
Ca7CoN6
1.0
10.856 0.000 0.000
0.000 6.244 0.000
0.000 0.000 12.926
Ca Co N
28 4 24
Direct
0.000 0.055 0.250
0.000 0.945 0.750
0.039 0.230 0.523
0.039 0.770 0.023
0.203 0.388 0.124
0.203 0.612 0.624
0.226 0.358 0.874
0.226 0.642 0.374
0.274 0.142 0.374
0.274 0.858 0.874
0.297 0.112 0.624
0.297 0.888 0.124
0.461 0.270 0.023
0.461 0.730 0.523
0.500 0.445 0.750
0.500 0.555 0.250
0.539 0.270 0.477
0.539 0.730 0.977
0.703 0.112 0.876
0.703 0.888 0.376
0.726 0.142 0.126
0.726 0.858 0.626
0.774 0.358 0.626
0.774 0.642 0.126
0.797 0.388 0.376
0.797 0.612 0.876
0.961 0.230 0.977
0.961 0.770 0.477
0.000 0.435 0.750
0.000 0.565 0.250
0.500 0.065 0.250
0.500 0.935 0.750
0.051 0.386 0.353
0.051 0.614 0.853
0.128 0.258 0.709
0.128 0.742 0.209
0.167 0.093 0.998
0.167 0.907 0.498
0.333 0.407 0.498
0.333 0.593 0.998
0.372 0.242 0.209
0.372 0.758 0.709
0.449 0.114 0.853
0.449 0.886 0.353
0.551 0.114 0.647
0.551 0.886 0.147
0.628 0.242 0.291
0.628 0.758 0.791
0.667 0.407 0.002
0.667 0.593 0.502
0.833 0.093 0.502
0.833 0.907 0.002
0.872 0.258 0.791
0.872 0.742 0.291
0.949 0.386 0.147
0.949 0.614 0.647
```

Starting from a DFT-relaxed cell (GGA-PBE, the Materials Project), the X-ray diffraction stick pattern of La3Si2Rh3 was simulated for CuKα.
Intensities are scaled so that the largest is 100.

The 6 most intense peaks (10° ≤ 2θ ≤ 90°), in order of rising 2θ:
Position (°2θ)  d [Å]  I_rel
30.32  2.948  66
32.36  2.767  43
32.92  2.721  100
36.35  2.471  37
37.08  2.424  43
37.58  2.393  76

Structural model:
```
La3Si2Rh3
1.0
7.851 0.000 0.000
0.000 15.093 0.000
0.000 0.000 5.913
La Si Rh
12 8 12
Direct
0.023 0.108 0.143
0.023 0.392 0.143
0.161 0.250 0.617
0.339 0.750 0.117
0.477 0.608 0.643
0.477 0.892 0.643
0.523 0.108 0.357
0.523 0.392 0.357
0.661 0.250 0.883
0.839 0.750 0.383
0.977 0.608 0.857
0.977 0.892 0.857
0.130 0.595 0.363
0.130 0.905 0.363
0.370 0.095 0.863
0.370 0.405 0.863
0.630 0.595 0.137
0.630 0.905 0.137
0.870 0.095 0.637
0.870 0.405 0.637
0.158 0.037 0.603
0.158 0.463 0.603
0.184 0.750 0.563
0.316 0.250 0.063
0.342 0.537 0.103
0.342 0.963 0.103
0.658 0.037 0.897
0.658 0.463 0.897
0.684 0.750 0.937
0.816 0.250 0.437
0.842 0.537 0.397
0.842 0.963 0.397
```

Starting from a DFT-relaxed cell (GGA-PBE, the Materials Project), the X-ray diffraction stick pattern of MgGeP2 was simulated for CuKα.
Intensities are scaled so that the largest is 100.

The 6 most intense peaks (10° ≤ 2θ ≤ 90°), in order of rising 2θ:
Position (°2θ)  d [Å]  I_rel
17.39  5.098  35
27.38  3.258  100
44.25  2.047  23
46.06  1.971  42
52.82  1.733  29
82.73  1.167  13

Structural model:
```
MgGeP2
1.0
-2.895 2.895 5.381
2.895 -2.895 5.381
2.895 2.895 -5.381
Mg Ge P
2 2 4
Direct
0.000 0.000 0.000
0.750 0.250 0.500
0.250 0.750 0.500
0.500 0.500 0.000
0.153 0.625 0.028
0.375 0.403 0.528
0.597 0.125 0.972
0.875 0.847 0.472
```